La2ZnPdAu6: calculated powder diffractogram (λ = 1.5418 Å (Cu Kα)), based on the GGA-PBE geometry in Alexandria.

Structural model:
Unit cell a=5.391 b=6.259 c=7.166 alpha=86.05 beta=70.00 gamma=77.82
Element x y z (fractional)
La 0.184 0.218 0.260
La 0.816 0.782 0.740
Zn 0.500 0.500 0.500
Pd 0.000 0.000 0.000
Au 0.198 0.717 0.287
Au 0.284 0.569 0.894
Au 0.349 0.142 0.662
Au 0.651 0.858 0.338
Au 0.716 0.431 0.106
Au 0.802 0.283 0.713

Main lines, in order of falling intensity (10 to 90 degrees two-theta):
| (hkl) | Position (°2θ) | Rel. int. |
| --- | --- | --- |
| 1 2 0 | 31.13 | 100.0 |
| 1 -2 1 | 37.67 | 74.0 |
| 2 0 2 | 37.12 | 73.9 |
| 2 2 2 | 42.88 | 73.2 |
| 0 1 2 | 30.32 | 69.1 |
| 2 0 1 | 34.05 | 65.9 |
| 0 1 -1 | 19.57 | 64.4 |
| 2 0 0 | 36.21 | 63.7 |